For Cu5P4, a DFT-relaxed cell (PBE, Alexandria) gives the theoretical PXRD pattern in this record (Cu Kα).

Top 10 peaks for 2θ from 10° to 90°, most intense first:
| two_theta | d/Å | Rel. int. |
| --- | --- | --- |
| 41.18 | 2.192 | 100 |
| 15.40 | 5.754 | 34 |
| 47.40 | 1.918 | 30 |
| 70.51 | 1.336 | 17 |
| 48.95 | 1.861 | 16 |
| 83.89 | 1.153 | 16 |
| 52.48 | 1.744 | 12 |
| 86.21 | 1.128 | 11 |
| 34.47 | 2.602 | 8 |
| 69.28 | 1.356 | 8 |

Atomic structure:
Cell: 6.048 6.048 6.048 Å, 95.43 95.43 144.16°
Positions (direct):
Cu1 0.000 0.000 0.000
Cu2 0.333 0.333 0.666
Cu3 0.333 0.667 0.000
Cu4 0.667 0.333 0.000
Cu5 0.667 0.667 0.334
P1 0.000 0.289 0.289
P2 0.000 0.711 0.711
P3 0.289 0.000 0.289
P4 0.711 0.000 0.711

For Pa2CuP4, a DFT-relaxed cell (PBE, Alexandria) gives the theoretical PXRD pattern in this record (Cu Kα).

Top 10 peaks for 2θ from 10° to 90°, most intense first:
| two_theta | d/Å | Rel. int. |
| --- | --- | --- |
| 25.36 | 3.513 | 100 |
| 38.96 | 2.312 | 73 |
| 38.32 | 2.349 | 45 |
| 19.87 | 4.468 | 31 |
| 54.70 | 1.678 | 26 |
| 47.60 | 1.910 | 24 |
| 33.16 | 2.701 | 23 |
| 62.69 | 1.482 | 22 |
| 82.76 | 1.166 | 17 |
| 56.88 | 1.619 | 17 |

Atomic structure:
Cell: 3.820 3.820 8.935 Å, 90.00 90.00 90.00°
Positions (direct):
Pa1 0.000 0.500 0.239
Pa2 0.500 0.000 0.761
Cu1 0.000 0.000 0.500
P1 0.000 0.000 0.000
P2 0.000 0.500 0.656
P3 0.500 0.000 0.344
P4 0.500 0.500 0.000

For PaCuP3, a DFT-relaxed cell (PBE, Alexandria) gives the theoretical PXRD pattern in this record (Cu Kα).

Top 10 peaks for 2θ from 10° to 90°, most intense first:
| two_theta | d/Å | Rel. int. |
| --- | --- | --- |
| 11.07 | 7.990 | 100 |
| 26.13 | 3.410 | 96 |
| 29.72 | 3.006 | 80 |
| 31.93 | 2.803 | 77 |
| 31.55 | 2.835 | 76 |
| 25.34 | 3.515 | 67 |
| 46.12 | 1.968 | 65 |
| 43.37 | 2.087 | 64 |
| 29.17 | 3.061 | 63 |
| 35.44 | 2.533 | 63 |

Atomic structure:
Cell: 3.961 5.766 8.216 Å, 96.98 100.64 96.27°
Positions (direct):
Pa1 0.211 0.226 0.347
Pa2 0.789 0.774 0.653
Cu1 0.366 0.298 0.768
Cu2 0.634 0.702 0.232
P1 0.193 0.732 0.405
P2 0.216 0.406 0.045
P3 0.397 0.941 0.868
P4 0.603 0.059 0.132
P5 0.784 0.594 0.955
P6 0.807 0.268 0.595

For Cu6P8Pb, a DFT-relaxed cell (PBE, Alexandria) gives the theoretical PXRD pattern in this record (Cu Kα).

Top 10 peaks for 2θ from 10° to 90°, most intense first:
| two_theta | d/Å | Rel. int. |
| --- | --- | --- |
| 27.97 | 3.190 | 100 |
| 13.88 | 6.381 | 86 |
| 46.48 | 1.954 | 55 |
| 55.12 | 1.666 | 50 |
| 35.40 | 2.535 | 49 |
| 32.40 | 2.763 | 27 |
| 77.21 | 1.236 | 16 |
| 26.75 | 3.332 | 14 |
| 74.91 | 1.268 | 14 |
| 42.50 | 2.127 | 13 |

Atomic structure:
Cell: 7.815 7.815 7.815 Å, 60.00 60.00 60.00°
Positions (direct):
Cu1 0.000 0.000 0.500
Cu2 0.000 0.500 0.000
Cu3 0.000 0.500 0.500
Cu4 0.500 0.000 0.000
Cu5 0.500 0.000 0.500
Cu6 0.500 0.500 0.000
P1 0.155 0.155 0.155
P2 0.155 0.155 0.534
P3 0.155 0.534 0.155
P4 0.466 0.845 0.845
P5 0.534 0.155 0.155
P6 0.845 0.466 0.845
P7 0.845 0.845 0.466
P8 0.845 0.845 0.845
Pb1 0.000 0.000 0.000

For Cu5PPb3, a DFT-relaxed cell (PBE, Alexandria) gives the theoretical PXRD pattern in this record (Cu Kα).

Top 10 peaks for 2θ from 10° to 90°, most intense first:
| two_theta | d/Å | Rel. int. |
| --- | --- | --- |
| 34.06 | 2.632 | 100 |
| 35.62 | 2.521 | 57 |
| 27.85 | 3.204 | 34 |
| 37.39 | 2.405 | 30 |
| 30.60 | 2.922 | 29 |
| 36.12 | 2.487 | 29 |
| 37.19 | 2.418 | 28 |
| 23.25 | 3.826 | 27 |
| 41.31 | 2.185 | 19 |
| 49.33 | 1.847 | 18 |

Atomic structure:
Cell: 5.297 8.034 8.391 Å, 79.67 73.28 89.57°
Positions (direct):
Cu1 0.089 0.415 0.189
Cu2 0.122 0.312 0.908
Cu3 0.235 0.750 0.524
Cu4 0.362 0.656 0.218
Cu5 0.385 0.093 0.755
Cu6 0.615 0.907 0.245
Cu7 0.638 0.344 0.782
Cu8 0.765 0.250 0.476
Cu9 0.878 0.688 0.092
Cu10 0.911 0.585 0.811
P1 0.000 0.000 0.500
P2 0.500 0.000 0.500
Pb1 0.172 0.010 0.140
Pb2 0.221 0.376 0.552
Pb3 0.384 0.671 0.862
Pb4 0.616 0.329 0.138
Pb5 0.779 0.624 0.448
Pb6 0.828 0.990 0.860

For CuP2Pd8, a DFT-relaxed cell (PBE, Alexandria) gives the theoretical PXRD pattern in this record (Cu Kα).

Top 10 peaks for 2θ from 10° to 90°, most intense first:
| two_theta | d/Å | Rel. int. |
| --- | --- | --- |
| 38.43 | 2.343 | 100 |
| 39.60 | 2.276 | 98 |
| 40.45 | 2.230 | 93 |
| 37.93 | 2.372 | 58 |
| 38.32 | 2.349 | 55 |
| 42.37 | 2.133 | 44 |
| 35.12 | 2.555 | 38 |
| 36.95 | 2.433 | 37 |
| 41.88 | 2.157 | 36 |
| 46.40 | 1.957 | 35 |

Atomic structure:
Cell: 4.745 5.434 7.129 Å, 108.55 108.48 90.71°
Positions (direct):
Cu1 0.000 0.000 0.000
P1 0.585 0.480 0.762
P2 0.937 0.737 0.377
Pd1 0.037 0.497 0.057
Pd2 0.052 0.611 0.695
Pd3 0.247 0.113 0.399
Pd4 0.434 0.133 0.845
Pd5 0.439 0.662 0.494
Pd6 0.549 0.774 0.087
Pd7 0.705 0.310 0.265
Pd8 0.845 0.102 0.623

For Pm4Cu5P7, a DFT-relaxed cell (PBE, Alexandria) gives the theoretical PXRD pattern in this record (Cu Kα).

Top 10 peaks for 2θ from 10° to 90°, most intense first:
| two_theta | d/Å | Rel. int. |
| --- | --- | --- |
| 38.17 | 2.358 | 100 |
| 25.19 | 3.536 | 63 |
| 35.89 | 2.502 | 62 |
| 61.49 | 1.508 | 34 |
| 48.16 | 1.890 | 30 |
| 83.09 | 1.162 | 20 |
| 51.65 | 1.770 | 18 |
| 55.11 | 1.667 | 15 |
| 65.99 | 1.416 | 13 |
| 73.29 | 1.292 | 12 |

Atomic structure:
Cell: 10.704 10.704 10.704 Å, 151.08 151.08 41.35°
Positions (direct):
Pm1 0.139 0.139 0.514
Pm2 0.376 0.861 0.000
Pm3 0.624 0.624 0.486
Pm4 0.861 0.376 0.000
Cu1 0.000 0.000 0.000
Cu2 0.250 0.750 0.500
Cu3 0.251 0.251 0.000
Cu4 0.749 0.749 0.000
Cu5 0.750 0.250 0.500
P1 0.000 0.500 0.500
P2 0.071 0.578 0.000
P3 0.422 0.422 0.493
P4 0.500 0.000 0.500
P5 0.500 0.500 0.000
P6 0.578 0.071 0.000
P7 0.929 0.929 0.507

For PrCu4P2, a DFT-relaxed cell (PBE, Alexandria) gives the theoretical PXRD pattern in this record (Cu Kα).

Top 10 peaks for 2θ from 10° to 90°, most intense first:
| two_theta | d/Å | Rel. int. |
| --- | --- | --- |
| 38.30 | 2.350 | 100 |
| 35.70 | 2.515 | 86 |
| 34.48 | 2.601 | 69 |
| 46.65 | 1.947 | 63 |
| 34.69 | 2.586 | 40 |
| 24.21 | 3.677 | 33 |
| 41.77 | 2.163 | 29 |
| 43.77 | 2.068 | 27 |
| 33.55 | 2.671 | 25 |
| 45.80 | 1.981 | 23 |

Atomic structure:
Cell: 11.047 14.737 3.895 Å, 90.00 90.00 90.00°
Positions (direct):
Pr1 0.000 0.000 0.000
Pr2 0.122 0.272 0.000
Pr3 0.378 0.772 0.500
Pr4 0.500 0.500 0.500
Pr5 0.622 0.228 0.500
Pr6 0.878 0.728 0.000
Cu1 0.069 0.564 0.000
Cu2 0.074 0.832 0.500
Cu3 0.100 0.446 0.500
Cu4 0.170 0.716 0.000
Cu5 0.235 0.964 0.500
Cu6 0.241 0.588 0.500
Cu7 0.259 0.088 0.000
Cu8 0.265 0.464 0.000
Cu9 0.330 0.216 0.500
Cu10 0.400 0.946 0.000
Cu11 0.426 0.332 0.000
Cu12 0.431 0.064 0.500
Cu13 0.569 0.936 0.500
Cu14 0.574 0.668 0.000
Cu15 0.600 0.054 0.000
Cu16 0.670 0.784 0.500
Cu17 0.735 0.536 0.000
Cu18 0.741 0.912 0.000
Cu19 0.759 0.412 0.500
Cu20 0.765 0.036 0.500
Cu21 0.830 0.284 0.000
Cu22 0.900 0.554 0.500
Cu23 0.926 0.168 0.500
Cu24 0.931 0.436 0.000
P1 0.059 0.665 0.500
P2 0.136 0.114 0.500
P3 0.206 0.871 0.000
P4 0.294 0.371 0.500
P5 0.364 0.614 0.000
P6 0.441 0.165 0.000
P7 0.559 0.835 0.000
P8 0.636 0.386 0.000
P9 0.706 0.629 0.500
P10 0.794 0.129 0.000
P11 0.864 0.886 0.500
P12 0.941 0.335 0.500